Structure and simulated X-ray diffraction stick pattern of Cd9Au4 (a structure optimized by DFT (PBE); Cu Kα X-rays).
Peak positions follow from Bragg's law for the DFT cell and can differ from measured ones.

Top 8 peaks for 2θ = 15–90°, in order of falling intensity:
| d [Å] | Rel. int. | h k l |
| --- | --- | --- |
| 2.314 | 1000 | 2 0 4 |
| 2.373 | 566 | 2 2 0 |
| 3.810 | 544 | 1 1 2 |
| 1.359 | 302 | 4 2 4 |
| 2.014 | 199 | 3 1 2 |
| 1.678 | 177 | 4 0 0 |
| 1.325 | 120 | 2 2 8 |
| 1.504 | 118 | 3 2 5 |

Structural model:
```
data_Cd9Au4
_chemical_formula_sum 'Cd18 Au8'
_symmetry_space_group_name_H-M 'I 4/m m m'
_symmetry_Int_Tables_number 139
_symmetry_space_group_name_Hall '-I 4 2'
_cell_length_a 6.7127
_cell_length_b 6.7127
_cell_length_c 12.7798
_cell_angle_alpha 90.00
_cell_angle_beta 90.00
_cell_angle_gamma 90.00
loop_
_atom_site_label
_atom_site_type_symbol
_atom_site_fract_x
_atom_site_fract_y
_atom_site_fract_z
Cd1 Cd 0.0000 0.0000 0.0000
Cd2 Cd 0.2272 0.2272 0.3712
Au1 Au 0.0000 0.0000 0.2250
Au2 Au 0.0000 0.5000 0.0000
```

***

Structure and simulated X-ray diffraction stick pattern of CdAu2 (a structure optimized by DFT (PBE); Cu Kα X-rays).
Peak positions follow from Bragg's law for the DFT cell and can differ from measured ones.

Top 8 peaks for 2θ = 15–90°, in order of falling intensity:
| d [Å] | Rel. int. | h k l |
| --- | --- | --- |
| 2.373 | 1000 | 2 1 1 |
| 2.272 | 595 | 2 0 2 |
| 4.544 | 290 | 1 0 1 |
| 1.391 | 260 | 4 0 0 |
| 1.515 | 205 | 3 2 1 |
| 1.186 | 157 | 4 2 2 |
| 1.968 | 150 | 2 2 0 |
| 2.783 | 132 | 2 0 0 |

Structural model:
```
data_CdAu2
_chemical_formula_sum 'Cd4 Au8'
_symmetry_space_group_name_H-M 'I m m a'
_symmetry_Int_Tables_number 74
_symmetry_space_group_name_Hall '-I 2b 2'
_cell_length_a 5.5613
_cell_length_b 5.5749
_cell_length_c 7.8618
_cell_angle_alpha 90.00
_cell_angle_beta 90.00
_cell_angle_gamma 90.00
loop_
_atom_site_label
_atom_site_type_symbol
_atom_site_fract_x
_atom_site_fract_y
_atom_site_fract_z
Cd1 Cd 0.0000 0.2500 0.1250
Au1 Au 0.0000 0.0000 0.5000
Au2 Au 0.2500 0.2500 0.7500
```